The following is a computed powder XRD pattern of ZrPa2AlN6. It was derived from a PBE-relaxed structure, using Cu Kα, 1.54184 Å.

Structural model:
```
data_ZrPa2AlN6
_cell_length_a 5.771
_cell_length_b 5.771
_cell_length_c 5.771
_cell_angle_alpha 58.51
_cell_angle_beta 58.51
_cell_angle_gamma 58.51
_space_group_name_H-M_alt 'P 1'
_space_group_IT_number 1
loop_
_space_group_symop_operation_xyz
'x,y,z'
loop_
_atom_site_label
_atom_site_type_symbol
_atom_site_fract_x
_atom_site_fract_y
_atom_site_fract_z
Zr1 Zr 0.000 0.000 0.000
Pa1 Pa 0.274 0.274 0.274
Pa2 Pa 0.777 0.777 0.777
Al1 Al 0.493 0.493 0.493
N1 N 0.124 0.690 0.365
N2 N 0.210 0.611 0.848
N3 N 0.365 0.124 0.690
N4 N 0.611 0.848 0.210
N5 N 0.690 0.365 0.124
N6 N 0.848 0.210 0.611
```

Principal peaks in the range 2θ from 15° to 90°, sorted by position:
d 4.033, 22.0 deg, I = 88; d 2.884, 31.0 deg, I = 100; d 2.820, 31.7 deg, I = 93; d 2.311, 39.0 deg, I = 24; d 2.016, 45.0 deg, I = 41; d 1.820, 50.1 deg, I = 33; d 1.787, 51.1 deg, I = 20; d 1.678, 54.7 deg, I = 18; d 1.640, 56.1 deg, I = 41; d 1.628, 56.5 deg, I = 25